(1)
Computed XRD peak list of Sm3Zn2C for Cu Ka, from a PBE-relaxed structure.
No peak broadening, texture or thermal motion is included.

```
data_Sm3Zn2C
_cell_length_a 7.0712
_cell_length_b 7.0712
_cell_length_c 6.6395
_cell_angle_alpha 90.00
_cell_angle_beta 90.00
_cell_angle_gamma 120.00
_space_group_name_H-M_alt 'P 63/m m c'
_space_group_IT_number 194
_space_group_name_Hall '-P 6c 2c'
loop_
_atom_site_label
_atom_site_type_symbol
_atom_site_fract_x
_atom_site_fract_y
_atom_site_fract_z
_atom_site_occupancy
Sm1 Sm 0.1558 0.3117 0.2500 1
Zn1 Zn 0.3333 0.6667 0.5741 1
C1 C 0.0000 0.0000 0.0000 1
```

Top 12 peaks for 10 to 80 degrees two-theta, low angle first:
h k l, 2θ (°), I (rel.)
0 0 2, 26.86, 17
2 0 0, 29.17, 27
1 0 2, 30.63, 12
2 0 1, 32.19, 100
1 1 2, 37.15, 20
2 0 2, 40.06, 10
1 0 3, 43.48, 12
2 0 3, 50.91, 10
2 2 0, 51.71, 23
2 1 3, 57.61, 18
2 2 2, 59.22, 10
4 0 1, 62.23, 13

---

(2)
Computed XRD peak list of Tl3Hg2Te for Cu Ka, from a PBE-relaxed structure.
No peak broadening, texture or thermal motion is included.

```
data_Tl3Hg2Te
_cell_length_a 6.9370
_cell_length_b 6.9429
_cell_length_c 8.8974
_cell_angle_alpha 72.34
_cell_angle_beta 71.68
_cell_angle_gamma 74.76
_space_group_name_H-M_alt 'P -1'
_space_group_IT_number 2
_space_group_name_Hall '-P 1'
loop_
_atom_site_label
_atom_site_type_symbol
_atom_site_fract_x
_atom_site_fract_y
_atom_site_fract_z
_atom_site_occupancy
Tl1 Tl 0.0951 0.0924 0.1877 1
Tl2 Tl 0.2765 0.2253 0.5004 1
Tl3 Tl 0.4016 0.4078 0.8129 1
Hg1 Hg 0.1079 0.6041 0.1552 1
Hg2 Hg 0.3982 0.9001 0.8437 1
Te1 Te 0.2159 0.7162 0.4982 1
```

Top 12 peaks for 10 to 80 degrees two-theta, low angle first:
h k l, 2θ (°), I (rel.)
2 0 2, 30.52, 100
0 2 2, 30.71, 94
0 2 -1, 31.97, 87
2 0 -1, 32.23, 84
2 2 1, 32.59, 71
0 0 3, 32.77, 81
2 -2 0, 42.93, 39
2 2 4, 44.74, 27
2 2 -2, 48.98, 23
0 4 1, 54.92, 31
2 0 5, 56.02, 37
0 2 -4, 58.81, 24

---

(3)
Computed XRD peak list of TbCo5 for Cu Ka, from a PBE-relaxed structure.
No peak broadening, texture or thermal motion is included.

```
data_TbCo5
_cell_length_a 4.9300
_cell_length_b 4.9300
_cell_length_c 3.9410
_cell_angle_alpha 90.00
_cell_angle_beta 90.00
_cell_angle_gamma 120.00
_space_group_name_H-M_alt 'P 6/m m m'
_space_group_IT_number 191
_space_group_name_Hall '-P 6 2'
loop_
_atom_site_label
_atom_site_type_symbol
_atom_site_fract_x
_atom_site_fract_y
_atom_site_fract_z
_atom_site_occupancy
Tb1 Tb 0.0000 0.0000 0.0000 1
Co1 Co 0.0000 0.5000 0.5000 1
Co2 Co 0.3333 0.6667 0.0000 1
```

Top 12 peaks for 10 to 80 degrees two-theta, low angle first:
h k l, 2θ (°), I (rel.)
0 0 1, 22.56, 7
1 0 1, 30.88, 53
1 1 0, 36.45, 33
2 0 0, 42.34, 36
1 1 1, 43.29, 100
0 0 2, 46.06, 26
1 1 2, 60.12, 15
2 1 1, 62.16, 15
2 0 2, 64.34, 20
3 0 0, 65.60, 6
3 0 1, 70.33, 22
2 2 0, 77.44, 15

---

(4)
Computed XRD peak list of TiAu2Br for Cu Ka, from a PBE-relaxed structure.
No peak broadening, texture or thermal motion is included.

```
data_TiAu2Br
_cell_length_a 8.1871
_cell_length_b 8.1871
_cell_length_c 5.2409
_cell_angle_alpha 90.00
_cell_angle_beta 90.00
_cell_angle_gamma 90.00
_space_group_name_H-M_alt 'I -4 2 d'
_space_group_IT_number 122
_space_group_name_Hall 'I -4 2bw'
loop_
_atom_site_label
_atom_site_type_symbol
_atom_site_fract_x
_atom_site_fract_y
_atom_site_fract_z
_atom_site_occupancy
Ti1 Ti 0.0000 0.0000 0.0000 1
Au1 Au 0.2046 0.7500 0.1250 1
Br1 Br 0.0000 0.0000 0.5000 1
```

Top 12 peaks for 10 to 80 degrees two-theta, low angle first:
h k l, 2θ (°), I (rel.)
2 0 0, 21.71, 58
2 1 1, 29.77, 36
2 2 0, 30.89, 100
3 0 1, 37.14, 17
1 1 2, 37.68, 89
3 2 1, 43.43, 20
4 0 0, 44.25, 29
4 1 1, 49.06, 18
3 1 2, 49.49, 60
4 3 1, 59.11, 23
5 2 1, 63.74, 15
2 0 4, 76.31, 17

---

(5)
Computed XRD peak list of TbCe2Bi3 for Cu Ka, from a PBE-relaxed structure.
No peak broadening, texture or thermal motion is included.

```
data_TbCe2Bi3
_cell_length_a 9.1254
_cell_length_b 12.9109
_cell_length_c 27.3965
_cell_angle_alpha 90.00
_cell_angle_beta 90.00
_cell_angle_gamma 90.00
_space_group_name_H-M_alt 'F d d d'
_space_group_IT_number 70
loop_
_space_group_symop_operation_xyz
'x,y,z'
'-x,-y,-z'
'-x+1/4,-y+1/4,z'
'x+1/4,y+1/4,-z'
'x,-y+1/4,-z+1/4'
'-x,y+1/4,z+1/4'
'-x+1/4,y,-z+1/4'
'x+1/4,-y,z+1/4'
'x,y+1/2,z+1/2'
'-x,-y+1/2,-z+1/2'
'-x+1/4,-y+3/4,z+1/2'
'x+1/4,y+3/4,-z+1/2'
'x,-y+3/4,-z+3/4'
'-x,y+3/4,z+3/4'
'-x+1/4,y+1/2,-z+3/4'
'x+1/4,-y+1/2,z+3/4'
'x+1/2,y,z+1/2'
'-x+1/2,-y,-z+1/2'
'-x+3/4,-y+1/4,z+1/2'
'x+3/4,y+1/4,-z+1/2'
'x+1/2,-y+1/4,-z+3/4'
'-x+1/2,y+1/4,z+3/4'
'-x+3/4,y,-z+3/4'
'x+3/4,-y,z+3/4'
'x+1/2,y+1/2,z'
'-x+1/2,-y+1/2,-z'
'-x+3/4,-y+3/4,z'
'x+3/4,y+3/4,-z'
'x+1/2,-y+3/4,-z+1/4'
'-x+1/2,y+3/4,z+1/4'
'-x+3/4,y+1/2,-z+1/4'
'x+3/4,-y+1/2,z+1/4'
loop_
_atom_site_label
_atom_site_type_symbol
_atom_site_fract_x
_atom_site_fract_y
_atom_site_fract_z
_atom_site_occupancy
Tb1 Tb 0.1250 0.1250 0.0414 1
Ce1 Ce 0.1250 0.1250 0.3756 1
Ce2 Ce 0.1250 0.1250 0.5423 1
Bi1 Bi 0.1200 0.3750 0.3750 1
Bi2 Bi 0.1228 0.3732 0.2091 1
```

Top 10 peaks for 10 to 80 degrees two-theta, low angle first:
h k l, 2θ (°), I (rel.)
0 2 6, 23.88, 5
2 0 6, 27.64, 100
2 4 6, 39.48, 78
2 2 12, 46.67, 3
0 4 12, 48.88, 29
0 8 0, 57.07, 14
0 2 18, 62.74, 1
2 8 6, 64.56, 38
2 4 18, 71.62, 28
0 6 18, 76.71, 1

---

(6)
Computed XRD peak list of K3Pu2Cl2O5 for Cu Ka, from a PBE-relaxed structure.
No peak broadening, texture or thermal motion is included.

```
data_K3Pu2Cl2O5
_cell_length_a 4.3046
_cell_length_b 4.3046
_cell_length_c 25.6196
_cell_angle_alpha 90.00
_cell_angle_beta 90.00
_cell_angle_gamma 90.00
_space_group_name_H-M_alt 'I 4/m m m'
_space_group_IT_number 139
_space_group_name_Hall '-I 4 2'
loop_
_atom_site_label
_atom_site_type_symbol
_atom_site_fract_x
_atom_site_fract_y
_atom_site_fract_z
_atom_site_occupancy
K1 K 0.0000 0.0000 0.0000 1
K2 K 0.0000 0.0000 0.1749 1
Pu1 Pu 0.0000 0.0000 0.4168 1
Cl1 Cl 0.0000 0.0000 0.3048 1
O1 O 0.0000 0.0000 0.5000 1
O2 O 0.0000 0.5000 0.0867 1
```

Top 12 peaks for 10 to 80 degrees two-theta, low angle first:
h k l, 2θ (°), I (rel.)
0 0 4, 13.83, 24
0 0 6, 20.80, 24
1 0 1, 20.93, 100
1 0 5, 27.05, 69
1 1 0, 29.34, 62
1 0 7, 32.10, 63
2 0 0, 41.98, 34
2 0 6, 47.34, 37
2 1 5, 50.66, 26
1 1 12, 52.34, 16
2 1 7, 53.81, 29
2 0 12, 61.14, 15